Diffraction record for HPb2Cl5. The X-ray diffraction stick pattern is simulated, not measured: it uses the PBE geometry in Alexandria and Cu Kα (weighted mean of Kα1 and Kα2).
Kinematic intensities with the Lorentz-polarization factor, no thermal factor.

a = 5.7446 Å, b = 13.1933 Å, c = 8.2452 Å
α = 90.00°, β = 110.25°, γ = 90.00°
Space group P2_1/m (No. 11)
Inequivalent atoms, fractional coordinates:
H  0.0309  0.2500  0.0649 (multiplicity 2)
Pb  0.1544  0.5599  0.3069 (multiplicity 4)
Cl  0.0281  0.1322  0.0599 (multiplicity 4)
Cl  0.2262  0.7500  0.4506 (multiplicity 2)
Cl  0.3205  0.0367  0.6422 (multiplicity 4)

Largest 12 diffraction maxima, low angle first, 10° ≤ 2θ ≤ 90°:
h k l  d_spacing  intensity
0 1 1  6.673  41
0 2 0  6.597  98
1 0 -1  5.385  100
1 1 0  4.986  38
1 0 1  3.838  41
0 3 1  3.823  70
1 3 0  3.406  38
1 2 1  3.317  36
2 0 -1  2.872  48
0 5 1  2.497  39
1 3 -3  2.316  48
2 3 -2  2.296  37